No. 1
MgV4O6F4: simulated powder XRD pattern (Cu Kα X-rays), based on a DFT-relaxed cell (GGA+U, the Materials Project).

Peak list (12 most intense, 10° ≤ 2θ ≤ 80°, low angle first)
| Position (°2θ) | intensity |
| --- | --- |
| 14.35 | 56 |
| 20.97 | 100 |
| 24.66 | 36 |
| 26.87 | 27 |
| 28.93 | 25 |
| 30.32 | 26 |
| 31.27 | 21 |
| 37.68 | 29 |
| 39.36 | 21 |
| 41.25 | 28 |
| 53.36 | 18 |
| 54.21 | 19 |

Atomic structure:
Cell: 5.365 5.857 6.780 Å, 103.81 107.33 98.75°
Atoms (fractional coordinates):
Mg 0.000 0.000 0.000
V 0.210 0.632 0.220
V 0.394 0.798 0.806
V 0.606 0.201 0.193
V 0.790 0.366 0.780
O 0.096 0.645 0.917
O 0.311 0.101 0.914
O 0.475 0.510 0.273
O 0.525 0.489 0.727
O 0.689 0.898 0.086
O 0.905 0.352 0.083
F 0.142 0.711 0.493
F 0.297 0.999 0.281
F 0.702 0.999 0.719
F 0.856 0.288 0.507

No. 2
BaZnFe6O11: simulated powder XRD pattern (Cu Kα X-rays), based on a DFT-relaxed cell (GGA+U, the Materials Project).

Peak list (12 most intense, 10° ≤ 2θ ≤ 80°, low angle first)
| Position (°2θ) | intensity |
| --- | --- |
| 30.32 | 100 |
| 30.95 | 23 |
| 31.80 | 55 |
| 31.94 | 27 |
| 33.67 | 35 |
| 35.58 | 55 |
| 35.71 | 29 |
| 36.13 | 23 |
| 36.67 | 28 |
| 40.81 | 21 |
| 40.99 | 41 |
| 63.08 | 58 |

Atomic structure:
Cell: 5.896 5.896 14.955 Å, 101.06 101.06 59.98°
Atoms (fractional coordinates):
Ba 0.000 0.000 0.000
Ba 0.598 0.598 0.791
Zn 0.142 0.142 0.437
Zn 0.449 0.449 0.352
Fe 0.191 0.685 0.563
Fe 0.233 0.233 0.696
Fe 0.298 0.298 0.896
Fe 0.365 0.365 0.096
Fe 0.405 0.910 0.226
Fe 0.674 0.674 0.027
Fe 0.685 0.191 0.563
Fe 0.685 0.685 0.564
Fe 0.791 0.791 0.394
Fe 0.910 0.405 0.226
Fe 0.911 0.911 0.226
Fe 0.920 0.920 0.764
O 0.013 0.484 0.984
O 0.070 0.606 0.307
O 0.093 0.093 0.296
O 0.111 0.111 0.807
O 0.115 0.582 0.808
O 0.210 0.210 0.154
O 0.218 0.730 0.150
O 0.387 0.387 0.636
O 0.395 0.871 0.641
O 0.484 0.013 0.984
O 0.484 0.484 0.983
O 0.498 0.498 0.491
O 0.518 0.968 0.483
O 0.582 0.115 0.808
O 0.606 0.070 0.307
O 0.613 0.613 0.301
O 0.724 0.724 0.158
O 0.730 0.218 0.150
O 0.871 0.395 0.641
O 0.875 0.875 0.634
O 0.968 0.518 0.483
O 0.976 0.976 0.486

No. 3
Sr3Fe2Cu2S2O5: simulated powder XRD pattern (Cu Kα X-rays), based on a DFT-relaxed cell (GGA+U, the Materials Project).

Peak list (12 most intense, 10° ≤ 2θ ≤ 80°, low angle first)
| Position (°2θ) | intensity |
| --- | --- |
| 31.92 | 17 |
| 32.61 | 100 |
| 34.71 | 12 |
| 37.94 | 38 |
| 40.61 | 6 |
| 45.76 | 39 |
| 57.31 | 31 |
| 58.60 | 22 |
| 62.80 | 7 |
| 66.72 | 12 |
| 76.26 | 9 |
| 79.41 | 7 |

Atomic structure:
Cell: 13.621 13.621 13.621 Å, 163.26 163.26 23.76°
Atoms (fractional coordinates):
Sr 0.000 0.000 0.000
Sr 0.142 0.142 0.000
Sr 0.858 0.858 0.000
Fe 0.428 0.428 0.000
Fe 0.572 0.572 0.000
Cu 0.250 0.750 0.500
Cu 0.750 0.250 0.500
S 0.302 0.302 0.000
S 0.698 0.698 0.000
O 0.083 0.583 0.500
O 0.417 0.917 0.500
O 0.500 0.500 0.000
O 0.583 0.083 0.500
O 0.917 0.417 0.500

No. 4
Na2CrSiCO7: simulated powder XRD pattern (Cu Kα X-rays), based on a DFT-relaxed cell (GGA+U, the Materials Project).

Peak list (12 most intense, 10° ≤ 2θ ≤ 80°, low angle first)
| Position (°2θ) | intensity |
| --- | --- |
| 16.87 | 100 |
| 21.81 | 50 |
| 24.15 | 44 |
| 25.57 | 67 |
| 26.34 | 23 |
| 27.66 | 53 |
| 33.78 | 28 |
| 33.93 | 33 |
| 34.12 | 99 |
| 34.24 | 32 |
| 37.46 | 32 |
| 57.13 | 28 |

Atomic structure:
Cell: 5.259 6.449 9.066 Å, 90.00 91.69 90.00°
Atoms (fractional coordinates):
Na 0.245 0.010 0.266
Na 0.245 0.490 0.266
Na 0.755 0.510 0.734
Na 0.755 0.990 0.734
Cr 0.198 0.250 0.850
Cr 0.802 0.750 0.150
Si 0.296 0.750 0.929
Si 0.704 0.250 0.071
C 0.272 0.250 0.581
C 0.728 0.750 0.419
O 0.046 0.250 0.640
O 0.137 0.750 0.083
O 0.215 0.543 0.832
O 0.215 0.957 0.832
O 0.310 0.250 0.446
O 0.395 0.250 0.039
O 0.458 0.250 0.683
O 0.542 0.750 0.317
O 0.605 0.750 0.961
O 0.690 0.750 0.554
O 0.785 0.043 0.168
O 0.785 0.457 0.168
O 0.863 0.250 0.917
O 0.954 0.750 0.360

No. 5
Mg14CoBiO16: simulated powder XRD pattern (Cu Kα X-rays), based on a DFT-relaxed cell (GGA+U, the Materials Project).

Peak list (12 most intense, 10° ≤ 2θ ≤ 80°, low angle first)
| Position (°2θ) | intensity |
| --- | --- |
| 10.16 | 54 |
| 14.39 | 68 |
| 20.41 | 39 |
| 24.96 | 45 |
| 28.96 | 50 |
| 30.76 | 42 |
| 35.67 | 53 |
| 38.64 | 32 |
| 41.25 | 53 |
| 41.50 | 100 |
| 59.95 | 60 |
| 60.14 | 29 |

Atomic structure:
Cell: 8.704 8.704 4.377 Å, 90.00 90.00 90.00°
Atoms (fractional coordinates):
Mg 0.000 0.242 0.000
Mg 0.000 0.500 0.500
Mg 0.000 0.758 0.000
Mg 0.233 0.500 0.000
Mg 0.237 0.237 0.500
Mg 0.237 0.763 0.500
Mg 0.242 0.000 0.000
Mg 0.500 0.000 0.500
Mg 0.500 0.233 0.000
Mg 0.500 0.767 0.000
Mg 0.758 0.000 0.000
Mg 0.763 0.237 0.500
Mg 0.763 0.763 0.500
Mg 0.767 0.500 0.000
Co 0.000 0.000 0.500
Bi 0.500 0.500 0.500
O 0.000 0.000 0.000
O 0.000 0.262 0.500
O 0.000 0.500 0.000
O 0.000 0.738 0.500
O 0.234 0.500 0.500
O 0.251 0.251 0.000
O 0.251 0.749 0.000
O 0.262 0.000 0.500
O 0.500 0.000 0.000
O 0.500 0.234 0.500
O 0.500 0.500 0.000
O 0.500 0.766 0.500
O 0.738 0.000 0.500
O 0.749 0.251 0.000
O 0.749 0.749 0.000
O 0.766 0.500 0.500

No. 6
BaDy2NiO5: simulated powder XRD pattern (Cu Kα X-rays), based on a DFT-relaxed cell (GGA+U, the Materials Project).

Peak list (12 most intense, 10° ≤ 2θ ≤ 80°, low angle first)
| Position (°2θ) | intensity |
| --- | --- |
| 28.01 | 39 |
| 30.77 | 31 |
| 31.29 | 11 |
| 32.21 | 100 |
| 39.85 | 13 |
| 44.46 | 15 |
| 46.34 | 15 |
| 47.90 | 14 |
| 55.63 | 22 |
| 56.39 | 10 |
| 56.66 | 16 |
| 58.02 | 11 |

Atomic structure:
Cell: 6.689 6.689 6.689 Å, 147.01 128.51 62.52°
Atoms (fractional coordinates):
Ba 0.000 0.000 0.000
Dy 0.297 0.797 0.500
Dy 0.703 0.203 0.500
Ni 0.500 0.500 0.000
O 0.110 0.350 0.760
O 0.410 0.650 0.760
O 0.500 0.000 0.500
O 0.590 0.350 0.240
O 0.890 0.650 0.240

No. 7
NaNi2H3S2O10: simulated powder XRD pattern (Cu Kα X-rays), based on a DFT-relaxed cell (GGA+U, the Materials Project).

Peak list (12 most intense, 10° ≤ 2θ ≤ 80°, low angle first)
| Position (°2θ) | intensity |
| --- | --- |
| 13.09 | 71 |
| 17.61 | 22 |
| 23.52 | 100 |
| 26.70 | 27 |
| 28.19 | 22 |
| 29.25 | 15 |
| 34.40 | 17 |
| 40.03 | 28 |
| 43.43 | 13 |
| 44.28 | 19 |
| 46.14 | 15 |
| 53.78 | 16 |

Atomic structure:
Cell: 6.515 6.515 7.057 Å, 104.56 104.56 55.79°
Atoms (fractional coordinates):
Na 0.000 0.000 0.000
Ni 0.484 0.998 0.495
Ni 0.998 0.484 0.495
H 0.414 0.414 0.518
H 0.579 0.579 0.481
H 0.957 0.957 0.484
S 0.392 0.392 0.157
S 0.599 0.599 0.839
O 0.116 0.116 0.477
O 0.216 0.216 0.671
O 0.269 0.667 0.193
O 0.324 0.722 0.801
O 0.340 0.340 0.405
O 0.653 0.653 0.593
O 0.667 0.269 0.193
O 0.722 0.324 0.801
O 0.775 0.775 0.328
O 0.877 0.877 0.519

No. 8
YMn3O6: simulated powder XRD pattern (Cu Kα X-rays), based on a DFT-relaxed cell (GGA+U, the Materials Project).

Peak list (12 most intense, 10° ≤ 2θ ≤ 80°, low angle first)
| Position (°2θ) | intensity |
| --- | --- |
| 23.29 | 30 |
| 27.62 | 35 |
| 28.58 | 30 |
| 32.62 | 100 |
| 32.83 | 40 |
| 32.96 | 47 |
| 34.73 | 43 |
| 34.99 | 43 |
| 39.45 | 39 |
| 52.03 | 38 |
| 59.16 | 39 |
| 60.08 | 36 |

Atomic structure:
Cell: 6.266 6.266 15.287 Å, 93.89 93.89 62.14°
Atoms (fractional coordinates):
Y 0.013 0.013 0.372
Y 0.330 0.330 0.059
Y 0.670 0.670 0.941
Y 0.987 0.987 0.628
Mn 0.000 0.000 0.000
Mn 0.000 0.500 0.500
Mn 0.167 0.662 0.828
Mn 0.168 0.168 0.835
Mn 0.327 0.327 0.672
Mn 0.338 0.833 0.172
Mn 0.500 0.000 0.500
Mn 0.500 0.500 0.500
Mn 0.662 0.167 0.828
Mn 0.673 0.673 0.328
Mn 0.832 0.832 0.165
Mn 0.833 0.338 0.172
O 0.012 0.012 0.764
O 0.062 0.470 0.753
O 0.149 0.149 0.108
O 0.154 0.708 0.092
O 0.175 0.175 0.590
O 0.191 0.606 0.590
O 0.292 0.846 0.908
O 0.306 0.306 0.444
O 0.314 0.314 0.916
O 0.394 0.809 0.410
O 0.470 0.062 0.753
O 0.470 0.470 0.766
O 0.530 0.530 0.234
O 0.530 0.938 0.247
O 0.606 0.191 0.590
O 0.686 0.686 0.084
O 0.694 0.694 0.556
O 0.708 0.154 0.092
O 0.809 0.394 0.410
O 0.825 0.825 0.410
O 0.846 0.292 0.908
O 0.851 0.851 0.892
O 0.938 0.530 0.247
O 0.988 0.988 0.236

What is the formula in the eighth record?
YMn3O6

Which formula does entry 6 have?
BaDy2NiO5